Mn5V2Pb3O16: computed powder XRD pattern (Cu Kα (weighted mean of Kα1 and Kα2)), based on a cell relaxed with GGA+U.
Neutral-atom scattering factors, no anomalous dispersion.

Crystal structure
Cell lengths 5.836, 5.836, 11.496 Å; angles 90.00, 90.00, 120.00 degrees
Positions (direct):
Mn  0.000  0.000  0.192
Mn  0.000  0.000  0.808
Mn  0.000  0.500  0.000
Mn  0.500  0.000  0.000
Mn  0.500  0.500  0.000
V  0.333  0.667  0.363
V  0.667  0.333  0.637
Pb  0.000  0.000  0.500
Pb  0.333  0.667  0.736
Pb  0.667  0.333  0.264
O  0.166  0.332  0.317
O  0.166  0.834  0.317
O  0.177  0.354  0.906
O  0.177  0.823  0.906
O  0.332  0.166  0.683
O  0.333  0.667  0.084
O  0.333  0.667  0.510
O  0.354  0.177  0.094
O  0.646  0.823  0.906
O  0.667  0.333  0.490
O  0.667  0.333  0.916
O  0.668  0.834  0.317
O  0.823  0.177  0.094
O  0.823  0.646  0.094
O  0.834  0.166  0.683
O  0.834  0.668  0.683

Most intense lines, 2θ = 10–80°, sorted by position:
two_theta, d [Å], Rel. int., hkl
19.18, 4.627, 80.4, 0 1 1
23.44, 3.796, 30.4, 1 0 2
29.25, 3.054, 100.0, 1 0 3
30.64, 2.918, 83.1, 1 1 0
31.63, 2.828, 29.8, 1 1 1
38.93, 2.313, 38.3, 2 0 2
42.87, 2.110, 36.7, 0 2 3
44.23, 2.048, 25.0, 1 1 4
53.61, 1.710, 38.9, 2 1 3
63.79, 1.459, 23.9, 2 2 0